The following is a theoretical X-ray diffraction stick pattern of Zn2CuIrO6. It was derived from a crystal structure in the Materials Project, relaxed with GGA-PBE, using Cu Ka.
Neutral-atom scattering factors, no anomalous dispersion.

Largest 6 diffraction maxima, low angle first, 10° ≤ 2θ ≤ 80°:
- (0 1 1), 20.62°, intensity 52
- (1 1 1), 33.64°, intensity 100
- (1 1 -3), 33.89°, intensity 94
- (0 2 0), 34.52°, intensity 40
- (2 0 -2), 34.98°, intensity 41
- (2 2 -2), 49.96°, intensity 36

Structural model:
a b c (Å): 5.130 5.197 9.237
angles (deg): 90.00 123.16 90.00
Space group P2_1/c (No. 14)
Unique sites:
Zn1 0.242 0.056 0.249 x4
Cu1 0.000 0.000 0.500 x2
Ir1 0.500 0.000 0.000 x2
O1 0.111 0.184 0.929 x4
O2 0.247 0.683 0.924 x4
O3 0.397 0.073 0.762 x4